Simulated powder XRD pattern of PrReTc2O8 for λ = 1.5418 Å (Cu Kα), from DFT lattice parameters and positions (GGA-PBE).

Structural model:
Cell: 6.8620 7.0474 6.1949 Å, 90.00 90.00 90.00°
Space group Cmmm (No. 65)
One atom of each set of equivalent atoms:
Pr: 0.0000 0.0000 0.0000
Re: 0.0000 0.0000 0.5000
Tc: 0.0000 0.5000 0.2721
O: 0.0000 0.2827 0.5000
O: 0.0000 0.3348 0.0000
O: 0.2158 0.0000 0.2939

Peak list (10 most intense, 10° ≤ 2θ ≤ 90°, by intensity)
d/Å  two_theta  Rel. int.
2.621  34.22  100
3.524  25.28  71
3.431  25.97  63
1.806  50.55  43
1.780  51.32  38
2.458  36.55  32
1.449  64.31  23
4.916  18.04  12
1.542  59.97  12
1.716  53.41  12

=====

Simulated powder XRD pattern of NaAcAu10 for λ = 1.5418 Å (Cu Kα), from DFT lattice parameters and positions (GGA-PBE).

Structural model:
Cell: 4.7007 5.6444 9.7994 Å, 90.00 90.00 90.00°
Space group Pmmm (No. 47)
One atom of each set of equivalent atoms:
Na: 0.0000 0.0000 0.0000
Ac: 0.0000 0.5000 0.5000
Au: 0.0000 0.0000 0.3210
Au: 0.0000 0.5000 0.1588
Au: 0.5000 0.0000 0.5000
Au: 0.5000 0.2541 0.2538
Au: 0.5000 0.5000 0.0000

Peak list (10 most intense, 10° ≤ 2θ ≤ 90°, by intensity)
d/Å  two_theta  Rel. int.
2.422  37.13  100
2.170  41.61  65
4.894  18.13  42
2.350  38.30  38
2.447  36.73  28
1.695  54.10  18
1.211  79.05  18
1.370  68.47  17
1.540  60.06  17
2.825  31.67  15

=====

Simulated powder XRD pattern of Ti2Pd8Pt for λ = 1.5418 Å (Cu Kα), from DFT lattice parameters and positions (GGA-PBE).

Structural model:
Cell: 4.1221 7.1361 11.8439 Å, 90.00 90.00 90.00°
Space group Immm (No. 71)
One atom of each set of equivalent atoms:
Ti: 0.0000 0.0000 0.1928
Pd: 0.0000 0.1981 0.0000
Pd: 0.0000 0.2791 0.3439
Pd: 0.0000 0.5000 0.1575
Pt: 0.0000 0.0000 0.5000

Peak list (10 most intense, 10° ≤ 2θ ≤ 90°, by intensity)
d/Å  two_theta  Rel. int.
2.227  40.50  100
2.061  43.93  24
2.279  39.55  23
3.057  29.21  20
1.974  45.98  18
2.332  38.61  17
6.112  14.49  15
1.220  78.42  14
1.426  65.47  12
1.227  77.81  12

=====

Simulated powder XRD pattern of NaZnPt for λ = 1.5418 Å (Cu Kα), from DFT lattice parameters and positions (GGA-PBE).

Structural model:
Cell: 2.8936 4.1951 5.1987 Å, 90.00 90.00 90.00°
Space group Pmmm (No. 47)
One atom of each set of equivalent atoms:
Na: 0.0000 0.0000 0.0000
Zn: 0.0000 0.5000 0.5000
Pt: 0.5000 0.0000 0.5000

Peak list (10 most intense, 10° ≤ 2θ ≤ 90°, by intensity)
d/Å  two_theta  Rel. int.
5.199  17.06  100
2.165  41.71  62
2.382  37.77  28
2.599  34.51  26
1.756  52.08  23
4.195  21.18  22
1.945  46.70  15
1.401  66.75  15
2.098  43.13  14
1.632  56.36  13

=====

Simulated powder XRD pattern of MnRe4Cl for λ = 1.5418 Å (Cu Kα), from DFT lattice parameters and positions (GGA-PBE).

Structural model:
Cell: 7.4095 7.4095 7.4095 Å, 90.00 90.00 90.00°
Space group F-43m (No. 216)
One atom of each set of equivalent atoms:
Mn: 0.0000 0.0000 0.0000
Re: 0.1247 0.1247 0.6247
Cl: 0.2500 0.2500 0.2500

Peak list (10 most intense, 10° ≤ 2θ ≤ 90°, by intensity)
d/Å  two_theta  Rel. int.
2.234  40.37  100
4.278  20.76  87
2.139  42.25  85
1.117  87.28  34
1.310  72.11  33
1.852  49.19  32
1.426  65.45  32
1.700  53.94  22
1.252  75.98  17
1.130  86.04  12

=====

Simulated powder XRD pattern of Sr2LiPrSe4 for λ = 1.5418 Å (Cu Kα), from DFT lattice parameters and positions (GGA-PBE).

Structural model:
Cell: 7.4281 4.3589 7.4787 Å, 90.00 108.95 90.00°
Space group P2/m (No. 10)
One atom of each set of equivalent atoms:
Sr: 0.0000 0.0000 0.0000
Sr: 0.5000 0.5000 0.0000
Li: 0.0000 0.5000 0.5000
Pr: 0.5000 0.0000 0.5000
Se: 0.2477 0.0000 0.7367
Se: 0.2522 0.5000 0.2657

Peak list (10 most intense, 10° ≤ 2θ ≤ 90°, by intensity)
d/Å  two_theta  Rel. int.
3.072  29.06  100
2.164  41.73  54
3.033  29.45  48
2.153  41.97  37
1.769  51.66  29
2.179  41.43  19
7.026  12.60  16
1.536  60.25  12
1.253  75.97  12
6.066  14.60  11

=====

Simulated powder XRD pattern of KCe2TcO8 for λ = 1.5418 Å (Cu Kα), from DFT lattice parameters and positions (GGA-PBE).

Structural model:
Cell: 5.0623 7.1298 5.1545 Å, 90.00 90.50 90.00°
Space group P2/m (No. 10)
One atom of each set of equivalent atoms:
K: 0.0000 0.0000 0.0000
Ce: 0.5000 0.2470 0.5000
Tc: 0.0000 0.5000 0.0000
O: 0.1923 0.3157 0.1767
O: 0.2712 0.5000 0.7171
O: 0.3121 0.0000 0.6462

Peak list (10 most intense, 10° ≤ 2θ ≤ 90°, by intensity)
d/Å  two_theta  Rel. int.
3.627  24.54  100
3.596  24.76  99
2.915  30.67  86
2.932  30.49  81
1.921  47.33  35
1.935  46.94  35
1.911  47.58  34
1.926  47.19  31
2.577  34.81  24
1.597  57.73  21

=====

Simulated powder XRD pattern of KTaNi for λ = 1.5418 Å (Cu Kα), from DFT lattice parameters and positions (GGA-PBE).

Structural model:
Cell: 3.1812 3.1812 14.0574 Å, 90.00 90.00 90.00°
Space group I4mm (No. 107)
One atom of each set of equivalent atoms:
K: 0.0000 0.0000 0.0000
Ta: 0.0000 0.0000 0.2640
Ni: 0.0000 0.0000 0.6894

Peak list (10 most intense, 10° ≤ 2θ ≤ 90°, by intensity)
d/Å  two_theta  Rel. int.
7.029  12.59  100
2.632  34.06  49
2.249  40.08  30
3.514  25.34  28
2.107  42.93  26
3.103  28.77  24
1.698  54.00  22
2.142  42.18  22
1.895  48.02  19
1.361  68.99  12

=====

Simulated powder XRD pattern of Li2Ag8Pb for λ = 1.5418 Å (Cu Kα), from DFT lattice parameters and positions (GGA-PBE).

Structural model:
Cell: 4.4622 7.1266 12.9603 Å, 90.00 90.00 90.00°
Space group Immm (No. 71)
One atom of each set of equivalent atoms:
Li: 0.0000 0.0000 0.2001
Ag: 0.0000 0.1937 0.0000
Ag: 0.0000 0.2958 0.3437
Ag: 0.0000 0.5000 0.1582
Pb: 0.0000 0.0000 0.5000

Peak list (10 most intense, 10° ≤ 2θ ≤ 90°, by intensity)
d/Å  two_theta  Rel. int.
2.340  38.48  100
3.266  27.30  35
2.461  36.52  27
2.231  40.43  22
2.160  41.82  18
6.245  14.18  14
1.614  57.08  13
1.552  59.57  12
1.308  72.22  12
1.329  70.94  10

=====

Simulated powder XRD pattern of NaCd3Cu8 for λ = 1.5418 Å (Cu Kα), from DFT lattice parameters and positions (GGA-PBE).

Structural model:
Cell: 5.0608 5.0608 24.5656 Å, 90.00 90.00 120.00°
Space group R3m (No. 160, hexagonal axes)
One atom of each set of equivalent atoms:
Na: 0.0000 0.0000 0.0000
Cd: 0.0000 0.0000 0.3741
Cd: 0.0000 0.0000 0.4990
Cd: 0.0000 0.0000 0.8744
Cu: 0.0000 0.0000 0.1868
Cu: 0.0000 0.0000 0.6874
Cu: 0.0017 0.5008 0.4382
Cu: 0.1673 0.3346 0.2694

Peak list (10 most intense, 10° ≤ 2θ ≤ 90°, by intensity)
d/Å  two_theta  Rel. int.
2.154  41.94  100
2.143  42.17  33
2.064  43.87  31
2.530  35.48  25
2.515  35.70  24
1.265  75.08  15
1.257  75.63  15
1.376  68.15  15
1.373  68.29  14
2.047  44.24  10

=====

Simulated powder XRD pattern of PmMg2Ga6 for λ = 1.5418 Å (Cu Kα), from DFT lattice parameters and positions (GGA-PBE).

Structural model:
Cell: 7.8334 7.8334 3.3718 Å, 90.00 90.00 120.00°
Space group P6/mmm (No. 191)
One atom of each set of equivalent atoms:
Pm: 0.0000 0.0000 0.0000
Mg: 0.3333 0.6667 0.0000
Ga: 0.0000 0.3389 0.5000

Peak list (10 most intense, 10° ≤ 2θ ≤ 90°, by intensity)
d/Å  two_theta  Rel. int.
2.555  35.12  100
2.261  39.87  81
6.784  13.05  38
1.352  69.55  30
1.694  54.16  29
1.356  69.32  27
1.879  48.46  15
3.019  29.59  15
1.306  72.38  13
3.372  26.43  12

=====

Copy entry 2 word for word.
Simulated powder XRD pattern of NaAcAu10 for λ = 1.5418 Å (Cu Kα), from DFT lattice parameters and positions (GGA-PBE).

Structural model:
Cell: 4.7007 5.6444 9.7994 Å, 90.00 90.00 90.00°
Space group Pmmm (No. 47)
One atom of each set of equivalent atoms:
Na: 0.0000 0.0000 0.0000
Ac: 0.0000 0.5000 0.5000
Au: 0.0000 0.0000 0.3210
Au: 0.0000 0.5000 0.1588
Au: 0.5000 0.0000 0.5000
Au: 0.5000 0.2541 0.2538
Au: 0.5000 0.5000 0.0000

Peak list (10 most intense, 10° ≤ 2θ ≤ 90°, by intensity)
d/Å  two_theta  Rel. int.
2.422  37.13  100
2.170  41.61  65
4.894  18.13  42
2.350  38.30  38
2.447  36.73  28
1.695  54.10  18
1.211  79.05  18
1.370  68.47  17
1.540  60.06  17
2.825  31.67  15

=====

Repeat the eleventh record exactly.
Simulated powder XRD pattern of PmMg2Ga6 for λ = 1.5418 Å (Cu Kα), from DFT lattice parameters and positions (GGA-PBE).

Structural model:
Cell: 7.8334 7.8334 3.3718 Å, 90.00 90.00 120.00°
Space group P6/mmm (No. 191)
One atom of each set of equivalent atoms:
Pm: 0.0000 0.0000 0.0000
Mg: 0.3333 0.6667 0.0000
Ga: 0.0000 0.3389 0.5000

Peak list (10 most intense, 10° ≤ 2θ ≤ 90°, by intensity)
d/Å  two_theta  Rel. int.
2.555  35.12  100
2.261  39.87  81
6.784  13.05  38
1.352  69.55  30
1.694  54.16  29
1.356  69.32  27
1.879  48.46  15
3.019  29.59  15
1.306  72.38  13
3.372  26.43  12